For Ba4CeMn3O12, the PBE+U geometry in Alexandria gives the computed powder X-ray diffraction pattern in this record (Cu Kα (weighted mean of Kα1 and Kα2)).
Peak positions follow from Bragg's law for the DFT cell and can differ from measured ones.

Largest 10 diffraction maxima, by intensity, 5° ≤ 2θ ≤ 70°:
(1 1 0), 30.36°, I 100
(1 0 7), 27.60°, I 78
(0 2 7), 41.49°, I 46
(0 1 8), 30.08°, I 26
(2 1 7), 52.27°, I 25
(2 2 0), 63.15°, I 20
(3 0 0), 53.94°, I 19
(0 1 14), 47.01°, I 14
(2 0 8), 43.26°, I 13
(1 2 14), 65.94°, I 12

Atomic structure:
Cell lengths 5.8889, 5.8889, 29.2413 Å; angles 90.00, 90.00, 120.00 degrees
Space group R-3m (No. 166, hexagonal axes)
Asymmetric unit:
Ba 0.0000 0.0000 0.1304
Ba 0.0000 0.0000 0.2818
Ce 0.0000 0.0000 0.0000
Mn 0.0000 0.0000 0.4125
Mn 0.0000 0.0000 0.5000
O 0.0189 0.5095 0.2889
O 0.0404 0.5202 0.1245